Theoretical X-ray diffraction stick pattern of DySiAg for CuKα, from DFT lattice parameters and positions (GGA-PBE).
Neutral-atom scattering factors, no anomalous dispersion.

Structure:
```
data_DySiAg
_chemical_formula_sum 'Dy1 Si1 Ag1'
_cell_length_a 4.4264
_cell_length_b 4.4264
_cell_length_c 3.6168
_cell_angle_alpha 90.00
_cell_angle_beta 90.00
_cell_angle_gamma 120.00
_space_group_name_H-M_alt 'P -6 m 2'
_space_group_IT_number 187
_space_group_name_Hall 'P -6 2'
loop_
_atom_site_label
_atom_site_fract_x
_atom_site_fract_y
_atom_site_fract_z
Dy1 0.0000 0.0000 0.0000
Si1 0.6667 0.3333 0.5000
Ag1 0.3333 0.6667 0.5000
```

Top 10 peaks for 2θ = 10–90°, low angle first:
2θ 23.20, I 294, (1 0 0)
2θ 34.08, I 1000, (1 0 1)
2θ 40.77, I 470, (1 1 0)
2θ 50.47, I 83, (0 0 2)
2θ 54.16, I 262, (2 0 1)
2θ 56.24, I 55, (1 0 2)
2θ 66.80, I 212, (1 1 2)
2θ 69.95, I 241, (2 1 1)
2θ 74.22, I 78, (3 0 0)
2θ 84.18, I 74, (1 0 3)